# 1
For TaB2W, a crystal structure in Alexandria, relaxed with GGA-PBE gives the simulated XRD peak list in this record (Cu Kα).
No peak broadening, texture or thermal motion is included.

Structure:
Cell: 3.134 4.618 6.058 Å, 90.00 90.00 90.00°
Space group Pmc2_1 (No. 26)
Asymmetric unit:
Ta (0.000, 0.129, 0.000) [2 per cell]
B (0.000, 0.356, 0.640) [2 per cell]
B (0.500, 0.154, 0.707) [2 per cell]
W (0.500, 0.367, 0.351) [2 per cell]

Main lines, by intensity (2θ = 15–90°):
2θ 37.73, I 100, hkl 1 1 1; 2θ 41.87, I 72, hkl 0 2 1; 2θ 34.59, I 64, hkl 1 1 0; 2θ 41.46, I 62, hkl 1 0 2; 2θ 35.44, I 41, hkl 0 1 2; 2θ 68.62, I 38, hkl 1 2 3; 2θ 29.49, I 35, hkl 0 0 2; 2θ 49.25, I 32, hkl 0 1 3; 2θ 24.23, I 31, hkl 0 1 1; 2θ 74.89, I 26, hkl 2 2 1; 2θ 46.07, I 25, hkl 1 1 2; 2θ 51.41, I 23, hkl 1 2 1



# 2
For Y2TaB, a crystal structure in Alexandria, relaxed with GGA-PBE gives the simulated XRD peak list in this record (Cu Kα).
No peak broadening, texture or thermal motion is included.

Structure:
Cell: 9.463 9.463 4.375 Å, 90.00 90.00 90.00°
Space group I-42d (No. 122)
Asymmetric unit:
Y (0.098, 0.250, 0.125) [8 per cell]
Ta (0.000, 0.000, 0.500) [4 per cell]
B (0.000, 0.000, 0.000) [4 per cell]

Main lines, by intensity (2θ = 15–90°):
2θ 29.36, I 100, hkl 2 1 1; 2θ 42.73, I 33, hkl 4 2 0; 2θ 18.76, I 26, hkl 2 0 0; 2θ 29.86, I 21, hkl 3 1 0; 2θ 52.70, I 20, hkl 5 0 1; 2θ 43.53, I 17, hkl 1 1 2; 2θ 51.77, I 16, hkl 3 1 2; 2θ 40.06, I 16, hkl 3 2 1; 2θ 35.07, I 15, hkl 3 0 1; 2θ 38.04, I 12, hkl 4 0 0; 2θ 26.65, I 11, hkl 2 2 0; 2θ 66.82, I 10, hkl 5 4 1



# 3
For YTa2B6, a crystal structure in Alexandria, relaxed with GGA-PBE gives the simulated XRD peak list in this record (Cu Kα).
No peak broadening, texture or thermal motion is included.

Structure:
Cell: 5.4638 5.4638 3.4709 Å, 90.00 90.00 120.00°
Space group P6/mmm (No. 191)
Asymmetric unit:
Y (0.0000, 0.0000, 0.0000) [1 per cell]
Ta (0.3333, 0.6667, 0.0000) [2 per cell]
B (0.0000, 0.3393, 0.5000) [6 per cell]

Main lines, by intensity (2θ = 15–90°):
2θ 42.09, I 100, hkl 1 1 1; 2θ 32.78, I 80, hkl 1 1 0; 2θ 25.67, I 43, hkl 0 0 1; 2θ 63.51, I 25, hkl 1 1 2; 2θ 64.94, I 21, hkl 3 0 1; 2θ 58.52, I 20, hkl 3 0 0; 2θ 74.68, I 18, hkl 2 2 1; 2θ 82.67, I 15, hkl 3 0 2; 2θ 18.75, I 13, hkl 1 0 0; 2θ 68.72, I 10, hkl 2 2 0; 2θ 52.75, I 9, hkl 0 0 2; 2θ 31.98, I 7, hkl 1 0 1



# 4
For YTaB4, a crystal structure in Alexandria, relaxed with GGA-PBE gives the simulated XRD peak list in this record (Cu Kα).
No peak broadening, texture or thermal motion is included.

Structure:
Cell: 6.169 11.929 3.594 Å, 90.00 90.00 90.00°
Space group Pbam (No. 55)
Asymmetric unit:
Y (0.126, 0.151, 0.000) [4 per cell]
Ta (0.134, 0.413, 0.000) [4 per cell]
B (0.023, 0.694, 0.500) [4 per cell]
B (0.116, 0.548, 0.500) [4 per cell]
B (0.132, 0.969, 0.500) [4 per cell]
B (0.206, 0.812, 0.500) [4 per cell]

Main lines, by intensity (2θ = 15–90°):
2θ 39.24, I 100, hkl 0 4 1; 2θ 24.78, I 95, hkl 0 0 1; 2θ 29.93, I 82, hkl 0 4 0; 2θ 44.94, I 64, hkl 2 3 1; 2θ 36.88, I 48, hkl 2 3 0; 2θ 42.01, I 42, hkl 1 4 1; 2θ 16.17, I 41, hkl 1 1 0; 2θ 33.37, I 32, hkl 1 4 0; 2θ 62.15, I 24, hkl 1 7 1; 2θ 60.11, I 23, hkl 0 4 2; 2θ 50.82, I 22, hkl 0 0 2; 2θ 20.71, I 20, hkl 1 2 0



# 5
For TbTcB2, a crystal structure in Alexandria, relaxed with GGA-PBE gives the simulated XRD peak list in this record (Cu Kα).
No peak broadening, texture or thermal motion is included.

Structure:
Cell: 5.981 5.315 6.458 Å, 90.00 90.00 90.00°
Space group Pnma (No. 62)
Asymmetric unit:
Tb (0.013, 0.250, 0.160) [4 per cell]
Tc (0.182, 0.250, 0.686) [4 per cell]
B (0.128, 0.578, 0.463) [8 per cell]

Main lines, by intensity (2θ = 15–90°):
2θ 37.20, I 100, hkl 2 1 1; 2θ 35.84, I 92, hkl 1 1 2; 2θ 33.73, I 55, hkl 0 2 0; 2θ 73.97, I 22, hkl 3 2 3; 2θ 27.63, I 22, hkl 0 0 2; 2θ 62.62, I 22, hkl 2 3 1; 2θ 44.72, I 20, hkl 1 0 3; 2θ 20.24, I 19, hkl 1 0 1; 2θ 61.70, I 18, hkl 1 3 2; 2θ 62.06, I 18, hkl 1 1 4; 2θ 44.14, I 17, hkl 0 2 2; 2θ 63.62, I 15, hkl 3 0 3



# 6
For Tb3TcB7, a crystal structure in Alexandria, relaxed with GGA-PBE gives the simulated XRD peak list in this record (Cu Kα).
No peak broadening, texture or thermal motion is included.

Structure:
Cell: 3.557 15.882 9.380 Å, 90.00 90.00 90.00°
Space group Cmcm (No. 63)
Asymmetric unit:
Tb (0.000, 0.105, 0.060) [8 per cell]
Tb (0.000, 0.241, 0.750) [4 per cell]
Tc (0.000, 0.054, 0.750) [4 per cell]
B (0.000, 0.273, 0.033) [8 per cell]
B (0.000, 0.368, 0.151) [8 per cell]
B (0.000, 0.459, 0.750) [4 per cell]
B (0.000, 0.479, 0.096) [8 per cell]

Main lines, by intensity (2θ = 15–90°):
2θ 38.76, I 100, hkl 1 1 3; 2θ 25.67, I 98, hkl 1 1 0; 2θ 29.48, I 91, hkl 0 4 2; 2θ 30.73, I 74, hkl 0 2 3; 2θ 39.22, I 52, hkl 1 5 1; 2θ 33.86, I 41, hkl 0 6 0; 2θ 42.76, I 38, hkl 1 5 2; 2θ 31.77, I 38, hkl 1 3 1; 2θ 37.98, I 32, hkl 1 5 0; 2θ 51.38, I 29, hkl 2 0 0; 2θ 56.39, I 28, hkl 1 7 3; 2θ 60.35, I 25, hkl 2 4 2



# 7
For TbThB4, a crystal structure in Alexandria, relaxed with GGA-PBE gives the simulated XRD peak list in this record (Cu Kα).
No peak broadening, texture or thermal motion is included.

Structure:
Cell: 3.712 3.712 11.697 Å, 90.00 90.00 90.00°
Space group I-4m2 (No. 119)
Asymmetric unit:
Tb (0.000, 0.000, 0.000) [2 per cell]
Th (0.000, 0.500, 0.750) [2 per cell]
B (0.000, 0.000, 0.425) [4 per cell]
B (0.000, 0.500, 0.170) [4 per cell]

Main lines, by intensity (2θ = 15–90°):
2θ 25.17, I 100, hkl 1 0 1; 2θ 37.56, I 91, hkl 1 1 2; 2θ 33.33, I 58, hkl 1 0 3; 2θ 58.98, I 42, hkl 2 0 4; 2θ 30.57, I 33, hkl 0 0 4; 2θ 45.85, I 27, hkl 1 0 5; 2θ 55.95, I 24, hkl 2 1 1; 2θ 49.09, I 22, hkl 2 0 0; 2θ 60.63, I 21, hkl 2 1 3; 2θ 84.12, I 18, hkl 3 1 2; 2θ 69.43, I 16, hkl 2 1 5; 2θ 60.79, I 12, hkl 1 0 7



# 8
For TbYB12, a crystal structure in Alexandria, relaxed with GGA-PBE gives the simulated XRD peak list in this record (Cu Kα).
No peak broadening, texture or thermal motion is included.

Structure:
Cell: 4.100 4.100 8.204 Å, 90.00 90.00 90.00°
Space group P4/mmm (No. 123)
Asymmetric unit:
Tb (0.000, 0.000, 0.000) [1 per cell]
Y (0.000, 0.000, 0.500) [1 per cell]
B (0.199, 0.500, 0.250) [8 per cell]
B (0.500, 0.500, 0.099) [2 per cell]
B (0.500, 0.500, 0.401) [2 per cell]

Main lines, by intensity (2θ = 15–90°):
2θ 30.84, I 100, hkl 1 1 0; 2θ 21.67, I 59, hkl 1 0 0; 2θ 49.71, I 49, hkl 2 1 0; 2θ 38.00, I 43, hkl 1 1 2; 2θ 68.66, I 28, hkl 2 2 2; 2θ 54.84, I 25, hkl 2 1 2; 2θ 44.17, I 22, hkl 2 0 0; 2θ 72.95, I 20, hkl 3 1 0; 2θ 89.40, I 17, hkl 3 2 2; 2θ 77.14, I 12, hkl 3 1 2; 2θ 64.24, I 10, hkl 2 2 0; 2θ 85.35, I 8, hkl 3 2 0